For Rb2YCrF6, a structure optimized by DFT (PBE+U) gives the calculated powder XRD pattern in this record (copper Kα).
Peak positions follow from Bragg's law for the DFT cell and can differ from measured ones.

Peak list (12 most intense, 2θ from 5° to 70°, by angle)
d = 5.280 Å, I = 86; d = 3.247 Å, I = 1000; d = 3.206 Å, I = 482; d = 2.640 Å, I = 158; d = 2.327 Å, I = 235; d = 2.267 Å, I = 437; d = 1.883 Å, I = 202; d = 1.859 Å, I = 394; d = 1.624 Å, I = 278; d = 1.603 Å, I = 134; d = 1.468 Å, I = 95; d = 1.437 Å, I = 86

Cell and atoms:
a = 6.412 Å, b = 6.412 Å, c = 9.306 Å
α = 90.00°, β = 90.00°, γ = 90.00°
Space group I4/mmm (No. 139)
Asymmetric unit:
Rb1 0.000 0.500 0.250 (multiplicity 4)
Y1 0.000 0.000 0.000 (multiplicity 2)
Cr1 0.000 0.000 0.500 (multiplicity 2)
F1 0.000 0.000 0.235 (multiplicity 4)
F2 0.241 0.241 0.000 (multiplicity 8)